Structure and theoretical X-ray powder pattern of NaInH8N2F6 (DFT lattice parameters and positions (GGA-PBE); Cu Ka).
Peak positions follow from Bragg's law for the DFT cell and can differ from measured ones.

Crystal structure
a = 6.176 Å, b = 6.176 Å, c = 6.176 Å
α = 60.00°, β = 60.00°, γ = 60.00°
Fractional coordinates of all 18 atoms:
Na  0.000  0.000  0.000
In  0.500  0.500  0.500
H  0.182  0.182  0.182
H  0.182  0.182  0.454
H  0.182  0.454  0.182
H  0.454  0.182  0.182
H  0.546  0.818  0.818
H  0.818  0.546  0.818
H  0.818  0.818  0.546
H  0.818  0.818  0.818
N  0.250  0.250  0.250
N  0.750  0.750  0.750
F  0.258  0.258  0.742
F  0.258  0.742  0.258
F  0.258  0.742  0.742
F  0.742  0.258  0.258
F  0.742  0.258  0.742
F  0.742  0.742  0.258

Peak list (10 most intense, 2θ = 10–90°, low angle first)
2theta, d_spacing, I/Imax
17.59, 5.043, 86
20.33, 4.367, 100
28.91, 3.088, 76
34.04, 2.634, 46
41.35, 2.184, 60
46.50, 1.953, 52
51.24, 1.783, 26
54.60, 1.681, 18
59.91, 1.544, 34
63.95, 1.456, 24